# 1
For Hf6HgPb2, a DFT-relaxed cell (GGA-PBE, Alexandria) gives the theoretical X-ray diffraction stick pattern in this record (Cu Kα (λ = 1.5418 Å)).
Peak positions follow from Bragg's law for the DFT cell and can differ from measured ones.

Lattice parameters (Å, degrees): 9.660 9.660 4.344 90.00 90.00 90.00
Space group P4_2/mnm (No. 136)
Symmetry-distinct sites (fractional):
1 Hf 0.005 0.338 0.000
2 Hf 0.155 0.845 0.500
3 Hg 0.000 0.000 0.000
4 Pb 0.181 0.181 0.500

Largest 8 diffraction maxima, most intense first, 2θ = 5–70°:
- 2.587 Å, intensity 100, hkl 3 0 1
- 2.277 Å, intensity 34, hkl 3 3 0
- 1.367 Å, intensity 25, hkl 6 3 1
- 1.572 Å, intensity 22, hkl 3 3 2
- 2.172 Å, intensity 16, hkl 0 0 2
- 1.610 Å, intensity 11, hkl 6 0 0
- 2.499 Å, intensity 2, hkl 3 1 1
- 1.441 Å, intensity 2, hkl 6 2 1

=====

# 2
For Pm2Th2Al4Cu, a DFT-relaxed cell (GGA-PBE, Alexandria) gives the theoretical X-ray diffraction stick pattern in this record (Cu Kα (λ = 1.5418 Å)).
Peak positions follow from Bragg's law for the DFT cell and can differ from measured ones.

Lattice parameters (Å, degrees): 7.018 7.018 8.938 90.00 90.00 90.00
Space group I4/mmm (No. 139)
Symmetry-distinct sites (fractional):
1 Pm 0.000 0.000 0.194
2 Th 0.000 0.500 0.250
3 Al 0.236 0.236 0.500
4 Cu 0.000 0.000 0.500

Largest 8 diffraction maxima, most intense first, 2θ = 5–70°:
- 2.760 Å, intensity 100, hkl 2 0 2
- 3.509 Å, intensity 91, hkl 2 0 0
- 2.481 Å, intensity 63, hkl 2 2 0
- 4.469 Å, intensity 39, hkl 0 0 2
- 1.481 Å, intensity 30, hkl 4 2 2
- 3.321 Å, intensity 27, hkl 1 1 2
- 2.169 Å, intensity 25, hkl 2 2 2
- 2.742 Å, intensity 22, hkl 1 0 3